# 1
The following is a simulated X-ray diffraction stick pattern of InMo3Cl5. It was derived from a structure optimized by DFT (GGA-PBE), using Cu Kα, 1.54184 Å.
Kinematic intensities with the Lorentz-polarization factor, no thermal factor.

Peak list (10 most intense, 10 to 80 degrees two-theta, in order of falling intensity)
2θ 26.1, I = 100.0
2θ 35.2, I = 65.6
2θ 20.4, I = 65.5
2θ 41.4, I = 49.6
2θ 32.8, I = 49.2
2θ 12.2, I = 48.5
2θ 44.1, I = 41.6
2θ 24.5, I = 40.4
2θ 44.3, I = 35.6
2θ 34.0, I = 33.4

Structure:
Lattice parameters (Å, degrees): 5.448 7.257 5.460 90.00 90.64 90.00
Space group P2 (No. 3)
One atom of each set of equivalent atoms:
In: 0.000 0.000 0.000 x1
Mo: 0.000 0.864 0.500 x1
Mo: 0.500 0.366 0.500 x1
Mo: 0.500 0.864 0.000 x1
Cl: 0.193 0.351 0.194 x2
Cl: 0.285 0.645 0.715 x2
Cl: 0.500 0.029 0.500 x1

=====

# 2
The following is a simulated X-ray diffraction stick pattern of Pr2Ho2CIBr4. It was derived from a structure optimized by DFT (GGA-PBE), using Cu Kα, 1.54184 Å.
Kinematic intensities with the Lorentz-polarization factor, no thermal factor.

Peak list (10 most intense, 10 to 80 degrees two-theta, in order of falling intensity)
2θ 30.2, I = 100.0
2θ 10.2, I = 66.7
2θ 30.3, I = 59.3
2θ 10.0, I = 24.0
2θ 43.7, I = 23.2
2θ 43.0, I = 22.1
2θ 20.4, I = 18.9
2θ 45.9, I = 18.4
2θ 34.0, I = 17.8
2θ 37.8, I = 17.6

Structure:
Lattice parameters (Å, degrees): 18.123 3.954 8.940 90.00 102.91 90.00
Space group C2/m (No. 12)
One atom of each set of equivalent atoms:
Pr: 0.001 0.000 0.304 x4
Ho: 0.136 0.500 0.567 x4
C: 0.000 0.500 0.500 x2
I: 0.000 0.500 0.000 x2
Br: 0.169 0.000 0.803 x4
Br: 0.175 0.000 0.361 x4

=====

# 3
The following is a simulated X-ray diffraction stick pattern of AgAuBr6. It was derived from a structure optimized by DFT (GGA-PBE), using Cu Kα, 1.54184 Å.
Kinematic intensities with the Lorentz-polarization factor, no thermal factor.

Peak list (10 most intense, 10 to 80 degrees two-theta, in order of falling intensity)
2θ 31.1, I = 100.0
2θ 36.1, I = 97.0
2θ 15.4, I = 73.9
2θ 51.9, I = 66.5
2θ 29.7, I = 54.3
2θ 61.8, I = 40.8
2θ 39.4, I = 29.6
2θ 64.9, I = 22.4
2θ 47.4, I = 18.8
2θ 54.5, I = 17.6

Structure:
Lattice parameters (Å, degrees): 9.960 9.960 9.960 90.00 90.00 90.00
Space group F-43m (No. 216)
One atom of each set of equivalent atoms:
Ag: 0.000 0.000 0.000 x4
Au: 0.250 0.250 0.750 x4
Br: 0.000 0.000 0.258 x24

=====

# 4
The following is a simulated X-ray diffraction stick pattern of ErTmFe2Sn. It was derived from a structure optimized by DFT (GGA-PBE), using Cu Kα, 1.54184 Å.
Kinematic intensities with the Lorentz-polarization factor, no thermal factor.

Peak list (10 most intense, 10 to 80 degrees two-theta, in order of falling intensity)
2θ 34.0, I = 100.0
2θ 35.4, I = 76.0
2θ 30.1, I = 45.3
2θ 40.0, I = 34.2
2θ 60.0, I = 33.1
2θ 38.7, I = 29.6
2θ 46.8, I = 23.6
2θ 48.9, I = 20.8
2θ 57.8, I = 17.9
2θ 64.9, I = 16.1

Structure:
Lattice parameters (Å, degrees): 3.729 3.881 13.859 90.00 90.00 90.00
Space group Amm2 (No. 38)
One atom of each set of equivalent atoms:
Er: 0.000 0.000 0.000 x2
Tm: 0.000 0.000 0.730 x2
Fe: 0.500 0.000 0.162 x2
Fe: 0.500 0.000 0.568 x2
Sn: 0.500 0.000 0.365 x2

=====

# 5
The following is a simulated X-ray diffraction stick pattern of Sb3Pd2. It was derived from a structure optimized by DFT (GGA-PBE), using Cu Kα, 1.54184 Å.
Kinematic intensities with the Lorentz-polarization factor, no thermal factor.

Peak list (10 most intense, 10 to 80 degrees two-theta, in order of falling intensity)
2θ 38.6, I = 100.0
2θ 30.1, I = 38.0
2θ 53.4, I = 24.0
2θ 29.4, I = 15.8
2θ 48.3, I = 11.6
2θ 67.7, I = 11.5
2θ 17.2, I = 9.9
2θ 74.7, I = 8.7
2θ 74.9, I = 8.6
2θ 57.9, I = 7.7

Structure:
Lattice parameters (Å, degrees): 10.305 5.945 3.769 90.00 90.13 90.00
Space group C2 (No. 5)
One atom of each set of equivalent atoms:
Sb: 0.000 0.000 0.000 x2
Sb: 0.156 0.468 0.000 x4
Pd: 0.167 0.812 0.500 x4

=====

# 6
The following is a simulated X-ray diffraction stick pattern of CuAg2. It was derived from a structure optimized by DFT (GGA-PBE), using Cu Kα, 1.54184 Å.
Kinematic intensities with the Lorentz-polarization factor, no thermal factor.

Peak list (10 most intense, 10 to 80 degrees two-theta, in order of falling intensity)
2θ 39.1, I = 100.0
2θ 38.9, I = 94.5
2θ 44.5, I = 64.1
2θ 66.8, I = 35.3
2θ 47.0, I = 28.8
2θ 78.5, I = 21.9
2θ 78.1, I = 17.8
2θ 64.5, I = 10.7
2θ 65.1, I = 10.3
2θ 28.8, I = 5.6

Structure:
Lattice parameters (Å, degrees): 2.866 3.863 26.006 90.00 90.00 90.00
Space group Imm2 (No. 44)
One atom of each set of equivalent atoms:
Cu: 0.000 0.000 0.000 x2
Cu: 0.000 0.000 0.214 x2
Cu: 0.000 0.000 0.666 x2
Ag: 0.000 0.000 0.114 x2
Ag: 0.000 0.000 0.326 x2
Ag: 0.000 0.000 0.447 x2
Ag: 0.000 0.000 0.554 x2
Ag: 0.000 0.000 0.766 x2
Ag: 0.000 0.000 0.887 x2

=====

# 7
The following is a simulated X-ray diffraction stick pattern of TbHoCuSi3. It was derived from a structure optimized by DFT (GGA-PBE), using Cu Kα, 1.54184 Å.
Kinematic intensities with the Lorentz-polarization factor, no thermal factor.

Peak list (10 most intense, 10 to 80 degrees two-theta, in order of falling intensity)
2θ 34.1, I = 100.0
2θ 25.7, I = 37.8
2θ 45.4, I = 31.9
2θ 58.0, I = 21.6
2θ 65.8, I = 20.6
2θ 76.6, I = 19.0
2θ 52.5, I = 11.1
2θ 44.9, I = 10.9
2θ 75.9, I = 9.6
2θ 22.0, I = 8.0

Structure:
Lattice parameters (Å, degrees): 7.989 8.070 13.842 90.00 90.00 90.00
Space group Fmmm (No. 69)
One atom of each set of equivalent atoms:
Tb: 0.000 0.244 0.000 x8
Ho: 0.250 0.250 0.250 x8
Cu: 0.000 0.000 0.333 x8
Si: 0.000 0.000 0.169 x8
Si: 0.244 0.000 0.415 x16

=====

# 8
The following is a simulated X-ray diffraction stick pattern of Hf2Zr3Sc. It was derived from a structure optimized by DFT (GGA-PBE), using Cu Kα, 1.54184 Å.
Kinematic intensities with the Lorentz-polarization factor, no thermal factor.

Peak list (10 most intense, 10 to 80 degrees two-theta, in order of falling intensity)
2θ 36.7, I = 100.0
2θ 32.1, I = 25.9
2θ 35.2, I = 24.8
2θ 68.9, I = 20.3
2θ 64.1, I = 19.2
2θ 57.2, I = 18.0
2θ 48.3, I = 16.4
2θ 69.9, I = 14.8
2θ 18.4, I = 14.1
2θ 25.4, I = 11.9

Structure:
Lattice parameters (Å, degrees): 5.5813 5.5813 5.1051 90.00 90.00 120.00
Space group P-62m (No. 189)
One atom of each set of equivalent atoms:
Hf: 0.3333 0.6667 0.0000 x2
Zr: 0.0000 0.6630 0.5000 x3
Sc: 0.0000 0.0000 0.0000 x1

=====

# 9
The following is a simulated X-ray diffraction stick pattern of CsHf. It was derived from a structure optimized by DFT (GGA-PBE), using Cu Kα, 1.54184 Å.
Kinematic intensities with the Lorentz-polarization factor, no thermal factor.

Peak list (10 most intense, 10 to 80 degrees two-theta, in order of falling intensity)
2θ 23.6, I = 100.0
2θ 33.6, I = 80.8
2θ 54.4, I = 41.0
2θ 60.1, I = 30.5
2θ 41.4, I = 30.1
2θ 75.6, I = 19.6
2θ 48.2, I = 14.6
2θ 70.6, I = 9.5
2θ 20.4, I = 3.9
2θ 39.6, I = 2.5

Structure:
Lattice parameters (Å, degrees): 7.547 7.547 7.547 90.00 90.00 90.00
Space group Fm-3m (No. 225)
One atom of each set of equivalent atoms:
Cs: 0.000 0.000 0.000 x4
Hf: 0.000 0.000 0.500 x4

=====

# 10
The following is a simulated X-ray diffraction stick pattern of Tm2Te5O13. It was derived from a structure optimized by DFT (GGA-PBE), using Cu Kα, 1.54184 Å.
Kinematic intensities with the Lorentz-polarization factor, no thermal factor.

Peak list (10 most intense, 10 to 80 degrees two-theta, in order of falling intensity)
2θ 28.2, I = 100.0
2θ 28.1, I = 93.4
2θ 27.7, I = 87.4
2θ 28.4, I = 83.8
2θ 31.4, I = 59.4
2θ 32.9, I = 49.7
2θ 33.4, I = 43.2
2θ 46.7, I = 25.3
2θ 45.6, I = 24.3
2θ 46.1, I = 23.8

Structure:
Lattice parameters (Å, degrees): 6.839 8.521 10.383 88.79 86.83 74.92
Space group P-1 (No. 2)
One atom of each set of equivalent atoms:
Tm: 0.001 0.263 0.262 x2
Tm: 0.448 0.469 0.319 x2
Te: 0.130 0.346 0.602 x2
Te: 0.158 0.803 0.130 x2
Te: 0.271 0.396 0.976 x2
Te: 0.291 0.884 0.467 x2
Te: 0.434 0.911 0.805 x2
O: 0.038 0.351 0.063 x2
O: 0.055 0.821 0.534 x2
O: 0.062 0.020 0.185 x2
O: 0.068 0.267 0.783 x2
O: 0.126 0.488 0.396 x2
O: 0.237 0.499 0.685 x2
O: 0.312 0.736 0.791 x2
O: 0.329 0.222 0.277 x2
O: 0.335 0.741 0.269 x2
O: 0.338 0.514 0.114 x2
O: 0.345 0.993 0.623 x2
O: 0.460 0.188 0.011 x2
O: 0.471 0.674 0.498 x2

=====

# 11
The following is a simulated X-ray diffraction stick pattern of NbH10C4S2Cl3O. It was derived from a structure optimized by DFT (GGA-PBE), using Cu Kα, 1.54184 Å.
Kinematic intensities with the Lorentz-polarization factor, no thermal factor.

Peak list (10 most intense, 10 to 80 degrees two-theta, in order of falling intensity)
2θ 15.3, I = 100.0
2θ 13.7, I = 93.4
2θ 15.1, I = 79.3
2θ 28.7, I = 47.8
2θ 32.2, I = 41.9
2θ 16.5, I = 40.6
2θ 24.6, I = 25.7
2θ 15.5, I = 22.6
2θ 37.1, I = 22.3
2θ 26.4, I = 22.0

Structure:
Lattice parameters (Å, degrees): 6.852 7.034 7.296 108.77 99.65 113.86
Space group P1 (No. 1)
One atom of each set of equivalent atoms:
Nb: 0.000 0.000 0.000 x1
H: 0.135 0.035 0.542 x1
H: 0.217 0.515 0.917 x1
H: 0.221 0.825 0.547 x1
H: 0.336 0.655 0.766 x1
H: 0.385 0.055 0.487 x1
H: 0.424 0.465 0.817 x1
H: 0.488 0.588 0.270 x1
H: 0.686 0.442 0.043 x1
H: 0.747 0.848 0.424 x1
H: 0.805 0.499 0.302 x1
C: 0.214 0.936 0.473 x1
C: 0.370 0.592 0.880 x1
C: 0.652 0.707 0.268 x1
C: 0.779 0.580 0.200 x1
S: 0.059 0.756 0.201 x1
S: 0.593 0.840 0.105 x1
Cl: 0.102 0.294 0.334 x1
Cl: 0.811 0.126 0.809 x1
Cl: 0.818 0.617 0.731 x1
O: 0.272 0.100 0.984 x1

=====

# 12
The following is a simulated X-ray diffraction stick pattern of Cu4Ag. It was derived from a structure optimized by DFT (GGA-PBE), using Cu Kα, 1.54184 Å.
Kinematic intensities with the Lorentz-polarization factor, no thermal factor.

Peak list (10 most intense, 10 to 80 degrees two-theta, in order of falling intensity)
2θ 42.1, I = 100.0
2θ 41.7, I = 91.6
2θ 47.6, I = 62.6
2θ 72.4, I = 30.0
2θ 51.1, I = 25.8
2θ 70.1, I = 10.7
2θ 69.1, I = 6.7
2θ 40.9, I = 6.2
2θ 36.0, I = 5.3
2θ 32.8, I = 5.1

Structure:
Lattice parameters (Å, degrees): 11.059 2.684 8.904 90.00 99.38 90.00
Space group C2/m (No. 12)
One atom of each set of equivalent atoms:
Cu: 0.046 0.000 0.140 x4
Cu: 0.064 0.500 0.681 x4
Cu: 0.152 0.500 0.956 x4
Cu: 0.243 0.500 0.235 x4
Ag: 0.136 0.000 0.449 x4